Starting from the GGA-PBE geometry in OQMD, the PXRD pattern of Cs5Si3AgO9 was calculated for Cu Kα.
Neutral-atom scattering factors, no anomalous dispersion.

Peak list (10 most intense, 10° ≤ 2θ ≤ 90°, by angle)
hkl 0 1 3, 26.9 deg, I 57
hkl 2 1 -2, 27.0 deg, I 100
hkl 0 2 0, 27.5 deg, I 45
hkl 2 1 2, 28.5 deg, I 34
hkl 1 1 3, 29.0 deg, I 50
hkl 3 0 1, 29.4 deg, I 51
hkl 2 2 -1, 33.9 deg, I 30
hkl 2 2 1, 34.5 deg, I 32
hkl 0 2 4, 41.8 deg, I 24
hkl 5 1 -1, 49.5 deg, I 23

Cell and atoms:
```
data_Cs5Si3AgO9
_symmetry_space_group_name_H-M 'P 1 21/m 1'
_symmetry_Int_Tables_number 11
_symmetry_space_group_name_Hall '-P 2yb'
_cell_length_a 9.6491
_cell_length_b 6.4864
_cell_length_c 11.6033
_cell_angle_alpha 90.00
_cell_angle_beta 93.93
_cell_angle_gamma 90.00
loop_
_atom_site_label
_atom_site_fract_x
_atom_site_fract_y
_atom_site_fract_z
Cs1 0.0374 0.2500 0.3951
Cs2 0.1626 0.2500 0.0623
Cs3 0.2343 0.7500 0.8548
Cs4 0.2756 0.2500 0.6903
Cs5 0.4518 0.2500 0.3843
Si1 0.0555 0.7500 0.2069
Si2 0.2445 0.7500 0.4378
Si3 0.3738 0.7500 0.2030
Ag1 0.5000 0.0000 0.0000
O1 0.0269 0.0407 0.8285
O2 0.0975 0.7500 0.3502
O3 0.2112 0.7500 0.1453
O4 0.2544 0.5403 0.5120
O5 0.3738 0.7500 0.3454
O6 0.4531 0.5377 0.1689
```

=====

Starting from the GGA-PBE geometry in OQMD, the PXRD pattern of GdMgZn was calculated for Cu Kα.
Neutral-atom scattering factors, no anomalous dispersion.

Peak list (10 most intense, 10° ≤ 2θ ≤ 90°, by angle)
hkl 0 0 1, 10.7 deg, I 56
hkl 0 1 2, 27.8 deg, I 53
hkl 0 2 -1, 33.4 deg, I 74
hkl 2 0 0, 33.8 deg, I 88
hkl 1 0 -3, 35.0 deg, I 74
hkl -2 1 2, 35.2 deg, I 58
hkl 0 1 -3, 35.5 deg, I 60
hkl -1 2 2, 36.1 deg, I 57
hkl 2 -2 1, 36.5 deg, I 100
hkl 2 0 1, 36.8 deg, I 48

Cell and atoms:
```
data_GdMgZn
_symmetry_space_group_name_H-M 'P 1'
_symmetry_Int_Tables_number 1
_symmetry_space_group_name_Hall 'P 1'
_cell_length_a 6.0316
_cell_length_b 6.2647
_cell_length_c 8.2952
_cell_angle_alpha 90.66
_cell_angle_beta 95.73
_cell_angle_gamma 117.53
loop_
_atom_site_label
_atom_site_fract_x
_atom_site_fract_y
_atom_site_fract_z
Gd1 0.0000 0.0000 0.0000
Gd2 0.0588 0.4864 0.7384
Gd3 0.4496 0.5975 0.1421
Gd4 0.6021 0.8655 0.5688
Mg1 0.0071 0.2527 0.3622
Mg2 0.0441 0.7644 0.3617
Mg3 0.5113 0.0548 0.8930
Mg4 0.5400 0.3448 0.4892
Zn1 0.1489 0.0339 0.6584
Zn2 0.4966 0.0906 0.2181
Zn3 0.5677 0.4990 0.8199
Zn4 0.8852 0.4570 0.0750
```

=====

Starting from the GGA-PBE geometry in OQMD, the PXRD pattern of Dy3Mg3AlPt2 was calculated for Cu Kα.
Neutral-atom scattering factors, no anomalous dispersion.

Peak list (10 most intense, 10° ≤ 2θ ≤ 90°, by angle)
hkl 1 0 0, 13.7 deg, I 64
hkl 1 1 0, 23.9 deg, I 25
hkl 1 1 1, 32.4 deg, I 100
hkl 2 0 1, 35.3 deg, I 67
hkl 2 1 0, 36.9 deg, I 25
hkl 3 0 0, 42.0 deg, I 21
hkl 0 0 2, 43.9 deg, I 17
hkl 3 1 0, 51.0 deg, I 20
hkl 3 1 1, 56.0 deg, I 16
hkl 3 1 2, 69.6 deg, I 16

Cell and atoms:
```
data_Dy3Mg3AlPt2
_symmetry_space_group_name_H-M 'P -6 2 m'
_symmetry_Int_Tables_number 189
_symmetry_space_group_name_Hall 'P -6 -2'
_cell_length_a 7.4486
_cell_length_b 7.4486
_cell_length_c 4.1237
_cell_angle_alpha 90.00
_cell_angle_beta 90.00
_cell_angle_gamma 120.00
loop_
_atom_site_label
_atom_site_fract_x
_atom_site_fract_y
_atom_site_fract_z
Dy1 0.0000 0.5800 0.0000
Mg1 0.0000 0.2537 0.5000
Al1 0.0000 0.0000 0.0000
Pt1 0.3333 0.6667 0.5000
```

=====

Starting from the GGA-PBE geometry in OQMD, the PXRD pattern of Ta2Ni11 was calculated for Cu Kα.
Neutral-atom scattering factors, no anomalous dispersion.

Peak list (10 most intense, 10° ≤ 2θ ≤ 90°, by angle)
hkl 1 0 1, 22.3 deg, I 39
hkl 0 1 2, 23.1 deg, I 37
hkl 1 1 0, 38.6 deg, I 100
hkl 1 0 10, 42.5 deg, I 88
hkl 1 1 6, 44.5 deg, I 36
hkl 0 2 1, 45.1 deg, I 78
hkl 0 1 11, 45.8 deg, I 77
hkl 2 0 5, 48.6 deg, I 44
hkl 1 1 9, 51.1 deg, I 56
hkl 2 2 0, 82.8 deg, I 38

Cell and atoms:
```
data_Ta2Ni11
_symmetry_space_group_name_H-M 'R -3 m'
_symmetry_Int_Tables_number 166
_symmetry_space_group_name_Hall '-R 3 2"'
_cell_length_a 4.6619
_cell_length_b 4.6619
_cell_length_c 25.0198
_cell_angle_alpha 90.00
_cell_angle_beta 90.00
_cell_angle_gamma 120.00
loop_
_atom_site_label
_atom_site_fract_x
_atom_site_fract_y
_atom_site_fract_z
Ta1 0.0000 0.0000 0.0526
Ni1 0.0000 0.0000 0.1538
Ni2 0.0000 0.0000 0.3336
Ni3 0.0000 0.0000 0.5000
Ni4 0.0028 0.5014 0.9090
```

=====

Starting from the GGA-PBE geometry in OQMD, the PXRD pattern of Sc2Zn2InGa was calculated for Cu Kα.
Neutral-atom scattering factors, no anomalous dispersion.

Peak list (10 most intense, 10° ≤ 2θ ≤ 90°, by angle)
hkl 1 1 1, 24.6 deg, I 44
hkl 2 0 2, 28.5 deg, I 14
hkl 0 2 0, 40.8 deg, I 100
hkl 5 1 -3, 48.2 deg, I 21
hkl 4 2 -4, 59.0 deg, I 16
hkl 1 3 1, 65.0 deg, I 8
hkl 6 1 2, 66.9 deg, I 4
hkl 0 3 4, 74.2 deg, I 31
hkl 5 3 -3, 79.6 deg, I 6
hkl 0 4 0, 88.3 deg, I 10

Cell and atoms:
```
data_Sc2Zn2InGa
_symmetry_space_group_name_H-M 'P 1 m 1'
_symmetry_Int_Tables_number 6
_symmetry_space_group_name_Hall 'P -2y'
_cell_length_a 10.8396
_cell_length_b 4.4246
_cell_length_c 10.8404
_cell_angle_alpha 90.00
_cell_angle_beta 109.46
_cell_angle_gamma 90.00
loop_
_atom_site_label
_atom_site_fract_x
_atom_site_fract_y
_atom_site_fract_z
Sc1 0.0000 0.0000 0.0000
Sc2 0.1187 0.5000 0.3717
Sc3 0.2415 0.0000 0.7439
Sc4 0.3748 0.5000 0.1190
Sc5 0.5061 0.0000 0.4938
Sc6 0.6317 0.5000 0.8782
Sc7 0.7532 0.0000 0.2498
Sc8 0.8751 0.5000 0.6187
Zn1 0.1194 0.5000 0.6208
Zn2 0.2443 0.0000 0.9912
Zn3 0.3793 0.5000 0.3711
Zn4 0.4994 0.0000 0.7467
Zn5 0.6312 0.5000 0.1293
Zn6 0.7527 0.0000 0.4931
Zn7 0.8827 0.5000 0.8765
Zn8 0.9962 0.0000 0.2476
In1 0.2498 0.0000 0.2468
In2 0.3744 0.5000 0.6213
In3 0.5006 0.0000 0.9977
In4 0.7521 0.0000 0.7473
Ga1 0.1240 0.5000 0.8711
Ga2 0.6270 0.5000 0.3718
Ga3 0.8759 0.5000 0.1234
Ga4 0.9986 0.0000 0.4960
```

=====

Starting from the GGA-PBE geometry in OQMD, the PXRD pattern of Cu2Ag5 was calculated for Cu Kα.
Neutral-atom scattering factors, no anomalous dispersion.

Peak list (10 most intense, 10° ≤ 2θ ≤ 90°, by angle)
hkl 1 0 5, 35.2 deg, I 5
hkl 1 0 7, 38.8 deg, I 100
hkl 1 1 0, 44.4 deg, I 36
hkl 0 0 14, 46.6 deg, I 12
hkl 1 1 12, 61.0 deg, I 3
hkl 2 0 0, 64.6 deg, I 11
hkl 1 1 14, 66.4 deg, I 16
hkl 2 1 7, 78.0 deg, I 23
hkl 1 0 21, 81.2 deg, I 6
hkl 2 0 14, 83.4 deg, I 8

Cell and atoms:
```
data_Cu2Ag5
_symmetry_space_group_name_H-M 'I 4/m m m'
_symmetry_Int_Tables_number 139
_symmetry_space_group_name_Hall '-I 4 2'
_cell_length_a 2.8839
_cell_length_b 2.8839
_cell_length_c 27.2818
_cell_angle_alpha 90.00
_cell_angle_beta 90.00
_cell_angle_gamma 90.00
loop_
_atom_site_label
_atom_site_fract_x
_atom_site_fract_y
_atom_site_fract_z
Cu1 0.0000 0.0000 0.0672
Ag1 0.0000 0.0000 0.2116
Ag2 0.0000 0.0000 0.3664
Ag3 0.0000 0.0000 0.5000
```

=====

Starting from the GGA-PBE geometry in OQMD, the PXRD pattern of HoGaO3 was calculated for Cu Kα.
Neutral-atom scattering factors, no anomalous dispersion.

Peak list (10 most intense, 10° ≤ 2θ ≤ 90°, by angle)
hkl 0 0 1, 19.1 deg, I 20
hkl 1 0 1, 31.3 deg, I 100
hkl 1 1 0, 35.1 deg, I 36
hkl 1 1 1, 40.3 deg, I 13
hkl 1 0 2, 46.4 deg, I 14
hkl 2 0 0, 50.5 deg, I 21
hkl 1 1 2, 53.2 deg, I 25
hkl 2 1 1, 60.7 deg, I 31
hkl 1 0 3, 65.4 deg, I 20
hkl 2 1 3, 87.1 deg, I 14

Cell and atoms:
```
data_HoGaO3
_symmetry_space_group_name_H-M 'P 4 m m'
_symmetry_Int_Tables_number 99
_symmetry_space_group_name_Hall 'P 4 -2'
_cell_length_a 3.6138
_cell_length_b 3.6138
_cell_length_c 4.6537
_cell_angle_alpha 90.00
_cell_angle_beta 90.00
_cell_angle_gamma 90.00
loop_
_atom_site_label
_atom_site_fract_x
_atom_site_fract_y
_atom_site_fract_z
Ho1 0.0000 0.0000 0.0000
Ga1 0.5000 0.5000 0.5698
O1 0.0000 0.5000 0.7130
O2 0.5000 0.5000 0.1738
```

=====

Starting from the GGA-PBE geometry in OQMD, the PXRD pattern of RbZrAgSeS2 was calculated for Cu Kα.
Neutral-atom scattering factors, no anomalous dispersion.

Peak list (10 most intense, 10° ≤ 2θ ≤ 90°, by angle)
hkl 1 0 0, 11.1 deg, I 35
hkl 1 0 -1, 11.7 deg, I 100
hkl 1 1 1, 28.5 deg, I 31
hkl 2 1 -1, 30.8 deg, I 64
hkl 2 1 0, 31.9 deg, I 57
hkl 1 0 3, 35.1 deg, I 26
hkl 1 1 -3, 35.6 deg, I 46
hkl 2 1 1, 35.8 deg, I 26
hkl 2 1 -4, 44.1 deg, I 27
hkl 0 2 0, 46.0 deg, I 31

Cell and atoms:
```
data_RbZrAgSeS2
_symmetry_space_group_name_H-M 'P 1 21/m 1'
_symmetry_Int_Tables_number 11
_symmetry_space_group_name_Hall '-P 2yb'
_cell_length_a 8.5635
_cell_length_b 3.9487
_cell_length_c 9.8527
_cell_angle_alpha 90.00
_cell_angle_beta 111.47
_cell_angle_gamma 90.00
loop_
_atom_site_label
_atom_site_fract_x
_atom_site_fract_y
_atom_site_fract_z
Rb1 0.2421 0.2500 0.2169
Zr1 0.1827 0.7500 0.6563
Ag1 0.4212 0.2500 0.8929
Se1 0.3891 0.2500 0.6199
S1 0.0290 0.7500 0.3676
S2 0.2433 0.7500 0.9287
```

=====

Starting from the GGA-PBE geometry in OQMD, the PXRD pattern of Rb2P2Pt was calculated for Cu Kα.
Neutral-atom scattering factors, no anomalous dispersion.

Peak list (10 most intense, 10° ≤ 2θ ≤ 90°, by angle)
hkl 0 2 0, 12.3 deg, I 81
hkl 1 1 0, 14.7 deg, I 87
hkl 2 0 0, 27.0 deg, I 100
hkl 0 2 2, 31.2 deg, I 23
hkl 1 1 2, 32.3 deg, I 51
hkl 1 5 0, 33.9 deg, I 43
hkl 1 3 2, 36.9 deg, I 72
hkl 2 2 2, 41.7 deg, I 27
hkl 0 6 2, 47.7 deg, I 22
hkl 3 1 2, 51.1 deg, I 24

Cell and atoms:
```
data_Rb2P2Pt
_symmetry_space_group_name_H-M 'C m c m'
_symmetry_Int_Tables_number 63
_symmetry_space_group_name_Hall '-C 2c 2'
_cell_length_a 6.6071
_cell_length_b 14.4251
_cell_length_c 6.2465
_cell_angle_alpha 90.00
_cell_angle_beta 90.00
_cell_angle_gamma 90.00
loop_
_atom_site_label
_atom_site_fract_x
_atom_site_fract_y
_atom_site_fract_z
Rb1 0.0000 0.0781 0.2500
Rb2 0.0000 0.2879 0.7500
P1 0.1661 0.3965 0.2500
Pt1 0.0000 0.5000 0.0000
```

=====

Starting from the GGA-PBE geometry in OQMD, the PXRD pattern of Ir3Os3W2 was calculated for Cu Kα.
Neutral-atom scattering factors, no anomalous dispersion.

Peak list (10 most intense, 10° ≤ 2θ ≤ 90°, by angle)
hkl 2 0 0, 37.5 deg, I 24
hkl 0 0 2, 40.9 deg, I 25
hkl 2 0 1, 42.9 deg, I 100
hkl 2 0 2, 56.6 deg, I 15
hkl 2 2 0, 67.6 deg, I 18
hkl 2 0 3, 75.8 deg, I 19
hkl 4 0 0, 79.9 deg, I 3
hkl 2 2 2, 82.1 deg, I 21
hkl 4 0 1, 83.5 deg, I 15
hkl 0 0 4, 88.5 deg, I 3

Cell and atoms:
```
data_Ir3Os3W2
_symmetry_space_group_name_H-M 'P -6 m 2'
_symmetry_Int_Tables_number 187
_symmetry_space_group_name_Hall 'P -6 2'
_cell_length_a 5.5424
_cell_length_b 5.5424
_cell_length_c 4.4181
_cell_angle_alpha 90.00
_cell_angle_beta 90.00
_cell_angle_gamma 120.00
loop_
_atom_site_label
_atom_site_fract_x
_atom_site_fract_y
_atom_site_fract_z
Ir1 0.1672 0.3343 0.0000
Os1 0.0023 0.5012 0.5000
W1 0.0000 0.0000 0.5000
W2 0.6667 0.3333 0.0000
```

=====

Starting from the GGA-PBE geometry in OQMD, the PXRD pattern of LaMgCoSn was calculated for Cu Kα.
Neutral-atom scattering factors, no anomalous dispersion.

Peak list (10 most intense, 10° ≤ 2θ ≤ 90°, by angle)
hkl 1 1 1, 22.4 deg, I 3
hkl 2 0 0, 25.9 deg, I 30
hkl 2 2 0, 36.9 deg, I 100
hkl 3 1 1, 43.6 deg, I 2
hkl 2 2 2, 45.6 deg, I 9
hkl 4 0 0, 53.2 deg, I 17
hkl 4 2 0, 60.1 deg, I 13
hkl 4 2 2, 66.5 deg, I 35
hkl 4 4 0, 78.5 deg, I 11
hkl 6 0 0, 84.4 deg, I 7

Cell and atoms:
```
data_LaMgCoSn
_symmetry_space_group_name_H-M 'F -4 3 m'
_symmetry_Int_Tables_number 216
_symmetry_space_group_name_Hall 'F -4 2 3'
_cell_length_a 6.8893
_cell_length_b 6.8893
_cell_length_c 6.8893
_cell_angle_alpha 90.00
_cell_angle_beta 90.00
_cell_angle_gamma 90.00
loop_
_atom_site_label
_atom_site_fract_x
_atom_site_fract_y
_atom_site_fract_z
La1 0.0000 0.0000 0.0000
Mg1 0.2500 0.2500 0.7500
Co1 0.2500 0.2500 0.2500
Sn1 0.0000 0.0000 0.5000
```